# 1
Computed PXRD pattern
Compound: CaTl4
Radiation: Cu Kα (λ = 1.5418 Å)
Structure: a DFT-relaxed cell (PBE, Alexandria)
Lines closer than 0.1° are merged.

Main lines, by angle (10 to 90 degrees two-theta):
2theta	I (rel.)
23.7	9
31.9	100
32.8	29
34.7	19
42.1	11
42.8	13
48.5	15
58.0	19
60.4	10
65.1	15

abc: 5.4623 6.6603 16.3602
angles: 90.00 90.00 90.00
Space group Imma (No. 74)
Inequivalent atoms, fractional coordinates:
Ca 0.0000 0.2500 0.0970 [4 per cell]
Tl 0.0000 0.0000 0.5000 [4 per cell]
Tl 0.0000 0.0030 0.3004 [8 per cell]
Tl 0.0000 0.2500 0.8890 [4 per cell]

***

# 2
Computed PXRD pattern
Compound: CeSm3Sb2
Radiation: Cu Kα (λ = 1.5418 Å)
Structure: a DFT-relaxed cell (PBE, Alexandria)
Lines closer than 0.1° are merged.

Main lines, by angle (10 to 90 degrees two-theta):
2theta	I (rel.)
20.8	33
24.5	27
32.2	100
34.1	22
34.8	30
36.3	15
44.8	15
47.6	15
51.3	14
63.6	25

abc: 7.2598 14.6688 7.6385
angles: 90.00 90.00 90.00
Space group Ibam (No. 72)
Inequivalent atoms, fractional coordinates:
Ce 0.0000 0.0000 0.0000 [4 per cell]
Sm 0.0000 0.2051 0.2500 [8 per cell]
Sm 0.0000 0.5000 0.2500 [4 per cell]
Sb 0.1718 0.3520 0.0000 [8 per cell]

***

# 3
Computed PXRD pattern
Compound: InH2O2
Radiation: Cu Kα (λ = 1.5418 Å)
Structure: a DFT-relaxed cell (PBE, Alexandria)
Lines closer than 0.1° are merged.

Main lines, by angle (10 to 90 degrees two-theta):
2theta	I (rel.)
17.6	81
27.6	54
32.9	100
45.6	48
48.7	25
52.2	27
60.0	16
62.2	17
80.9	14
88.9	13

abc: 3.7366 3.7366 5.0478
angles: 90.00 90.00 120.00
Space group P-3m1 (No. 164)
Inequivalent atoms, fractional coordinates:
In 0.0000 0.0000 0.0000 [1 per cell]
H 0.3333 0.6667 0.4127 [2 per cell]
O 0.3333 0.6667 0.2176 [2 per cell]